Na3CoBAsO7: computed X-ray powder pattern (CuKα), based on a cell relaxed with GGA+U.
Peak positions follow from Bragg's law for the DFT cell and can differ from measured ones.

Structural model:
```
Na3CoBAsO7
1.0
5.256 0.000 0.000
0.260 9.047 0.000
0.007 0.004 13.856
Na Co B As O
12 4 4 4 28
Direct
0.233 0.420 0.128
0.241 0.420 0.623
0.242 0.746 0.748
0.243 0.746 0.501
0.254 0.754 0.254
0.254 0.754 0.997
0.746 0.246 0.003
0.746 0.246 0.746
0.757 0.254 0.499
0.758 0.254 0.252
0.759 0.580 0.377
0.767 0.580 0.872
0.214 0.171 0.875
0.228 0.166 0.375
0.772 0.834 0.625
0.786 0.829 0.125
0.261 0.438 0.375
0.276 0.432 0.875
0.724 0.568 0.125
0.739 0.562 0.625
0.285 0.076 0.126
0.285 0.079 0.624
0.715 0.921 0.376
0.715 0.924 0.874
0.024 0.374 0.375
0.040 0.364 0.876
0.126 0.913 0.125
0.130 0.914 0.625
0.211 0.193 0.719
0.214 0.188 0.525
0.215 0.192 0.031
0.216 0.187 0.225
0.308 0.583 0.375
0.309 0.579 0.875
0.389 0.962 0.375
0.391 0.971 0.875
0.459 0.327 0.374
0.469 0.322 0.875
0.531 0.678 0.125
0.541 0.673 0.626
0.609 0.029 0.125
0.611 0.038 0.625
0.691 0.421 0.125
0.692 0.417 0.625
0.784 0.813 0.775
0.785 0.808 0.969
0.786 0.812 0.475
0.789 0.807 0.281
0.870 0.086 0.375
0.874 0.087 0.875
0.960 0.636 0.124
0.976 0.626 0.625
```

Top 8 peaks for 2θ from 15° to 90°, by angle:
| h k l | two_theta | intensity |
| --- | --- | --- |
| 1 1 0 | 19.3 | 43 |
| 1 -1 2 | 23.6 | 36 |
| 1 2 0 | 25.6 | 46 |
| 0 0 4 | 25.7 | 100 |
| -1 2 2 | 29.4 | 37 |
| 1 1 4 | 32.4 | 82 |
| 0 2 -4 | 32.6 | 44 |
| 2 0 0 | 34.1 | 65 |